For LiAlNi3O5, a structure optimized by DFT (PBE+U) gives the computed X-ray powder pattern in this record (Cu Kα (λ = 1.5418 Å)).
Lines closer than 0.1° are merged.

The 10 most intense peaks (2θ from 10° to 90°), low angle first:
7.301 Å, 2θ 12.12, intensity 63.0; 3.180 Å, 2θ 28.06, intensity 25.2; 2.417 Å, 2θ 37.20, intensity 19.6; 2.398 Å, 2θ 37.51, intensity 37.3; 2.378 Å, 2θ 37.84, intensity 18.2; 2.100 Å, 2θ 43.06, intensity 52.2; 2.065 Å, 2θ 43.85, intensity 100.0; 1.482 Å, 2θ 62.71, intensity 29.0; 1.463 Å, 2θ 63.58, intensity 28.1; 1.460 Å, 2θ 63.75, intensity 27.9

Cell and atoms:
a = 7.729 Å, b = 7.729 Å, c = 5.158 Å
α = 96.57°, β = 96.57°, γ = 141.68°
Fractional coordinates of all 20 atoms:
Li 0.200 0.800 0.000
Li 0.800 0.200 0.000
Al 0.299 0.701 0.500
Al 0.701 0.299 0.500
Ni 0.000 0.000 0.000
Ni 0.102 0.898 0.500
Ni 0.395 0.605 0.000
Ni 0.500 0.500 0.500
Ni 0.605 0.395 0.000
Ni 0.898 0.102 0.500
O 0.056 0.466 0.718
O 0.161 0.371 0.261
O 0.247 0.247 0.757
O 0.371 0.161 0.261
O 0.466 0.056 0.718
O 0.534 0.944 0.282
O 0.629 0.839 0.739
O 0.753 0.753 0.243
O 0.839 0.629 0.739
O 0.944 0.534 0.282